No. 1
Structure and simulated powder X-ray diffraction pattern of Li10Fe3Co3Ni2O16 (a structure optimized by DFT (PBE+U); a wavelength of 1.5418 Å).
Lines closer than 0.1° are merged.

Cell lengths 5.866, 5.877, 9.716 Å; angles 90.49, 90.25, 119.68 degrees
Space group P1 (No. 1)
Symmetry-distinct sites (fractional):
Li  0.000  0.000  0.000 x1
Li  0.005  0.437  0.999 x1
Li  0.141  0.280  0.774 x1
Li  0.189  0.819  0.498 x1
Li  0.402  0.412  0.004 x1
Li  0.469  0.955  0.274 x1
Li  0.596  0.219  0.500 x1
Li  0.623  0.822  0.493 x1
Li  0.806  0.622  0.077 x1
Li  0.816  0.615  0.571 x1
Fe  0.465  0.453  0.273 x1
Fe  0.644  0.281  0.772 x1
Fe  0.644  0.786  0.770 x1
Co  0.152  0.788  0.770 x1
Co  0.975  0.457  0.270 x1
Co  0.975  0.961  0.269 x1
Ni  0.145  0.293  0.525 x1
Ni  0.485  0.958  0.029 x1
O  0.128  0.283  0.157 x1
O  0.128  0.783  0.158 x1
O  0.292  0.126  0.386 x1
O  0.293  0.609  0.387 x1
O  0.317  0.106  0.889 x1
O  0.321  0.639  0.889 x1
O  0.472  0.947  0.652 x1
O  0.491  0.454  0.648 x1
O  0.648  0.300  0.154 x1
O  0.649  0.788  0.155 x1
O  0.801  0.115  0.890 x1
O  0.820  0.634  0.378 x1
O  0.831  0.140  0.384 x1
O  0.831  0.630  0.882 x1
O  0.980  0.940  0.653 x1
O  0.981  0.462  0.657 x1

The 12 most intense peaks (2θ = 10–90°), in order of rising 2θ:
2θ (°)  d_spacing  intensity  index
18.3  4.858  88.6  0 0 2
19.6  4.537  59.6  1 0 -1
19.7  4.498  100.0  -1 1 1
35.4  2.537  26.9  1 1 -2
35.8  2.506  48.0  2 -1 2
36.3  2.474  32.3  2 0 -1
36.5  2.459  48.6  0 2 1
40.1  2.249  38.1  2 -2 2
44.9  2.017  27.9  0 2 -3
45.1  2.012  27.6  2 0 -3
45.5  1.994  76.5  2 0 3
63.0  1.475  25.6  2 2 0

***

No. 2
Structure and simulated powder X-ray diffraction pattern of LiSm4Mo4O14 (a structure optimized by DFT (PBE+U); a wavelength of 1.5418 Å).
Lines closer than 0.1° are merged.

Cell lengths 7.488, 7.489, 7.491 Å; angles 60.77, 60.78, 60.77 degrees
Space group P1 (No. 1)
Symmetry-distinct sites (fractional):
Li  0.000  0.000  0.000 x1
Sm  0.372  0.876  0.376 x1
Sm  0.373  0.374  0.375 x1
Sm  0.376  0.372  0.876 x1
Sm  0.875  0.377  0.372 x1
Mo  0.387  0.868  0.872 x1
Mo  0.867  0.872  0.388 x1
Mo  0.868  0.869  0.869 x1
Mo  0.871  0.388  0.868 x1
O  0.195  0.790  0.206 x1
O  0.205  0.196  0.788 x1
O  0.214  0.798  0.780 x1
O  0.248  0.249  0.249 x1
O  0.499  0.500  0.500 x1
O  0.526  0.959  0.974 x1
O  0.536  0.544  0.968 x1
O  0.543  0.967  0.537 x1
O  0.779  0.215  0.799 x1
O  0.788  0.206  0.196 x1
O  0.797  0.780  0.215 x1
O  0.956  0.975  0.528 x1
O  0.967  0.537  0.544 x1
O  0.973  0.527  0.958 x1

The 12 most intense peaks (2θ = 10–90°), in order of rising 2θ:
2θ (°)  d_spacing  intensity  index
28.9  3.087  100.0  2 0 0
29.4  3.039  33.1  2 2 2
33.7  2.663  42.0  2 2 0
48.0  1.894  33.2  2 0 -2
48.6  1.872  30.9  4 2 2
57.0  1.615  14.5  2 2 -2
57.3  1.608  28.7  4 2 0
57.8  1.594  13.6  4 4 2
59.9  1.544  9.5  4 0 0
70.8  1.332  9.2  4 4 0
77.7  1.229  11.5  4 -2 0
81.1  1.185  9.0  6 2 4

***

No. 3
Structure and simulated powder X-ray diffraction pattern of Sr2YCr2O7 (a structure optimized by DFT (PBE+U); a wavelength of 1.5418 Å).
Lines closer than 0.1° are merged.

Cell lengths 5.401, 25.104, 5.320 Å; angles 90.00, 90.00, 90.00 degrees
Space group Imma (No. 74)
Symmetry-distinct sites (fractional):
Sr  0.000  0.178  0.048 x8
Y  0.000  0.000  0.000 x4
Cr  0.000  0.080  0.508 x8
O  0.000  0.153  0.530 x8
O  0.250  0.053  0.750 x8
O  0.250  0.061  0.250 x8
O  0.250  0.250  0.250 x4

The 12 most intense peaks (2θ = 10–90°), in order of rising 2θ:
2θ (°)  d_spacing  intensity  index
23.5  3.790  13.6  1 0 1
27.5  3.244  21.6  1 4 1
28.4  3.138  10.3  0 8 0
31.9  2.809  100.0  1 6 1
33.2  2.700  22.7  2 0 0
33.7  2.660  17.4  0 0 2
39.7  2.269  13.1  2 6 0
48.0  1.895  29.1  2 0 2
55.6  1.654  10.3  2 12 0
55.9  1.645  11.1  0 12 2
58.4  1.579  16.9  3 6 1
59.1  1.563  11.4  1 6 3

***

No. 4
Structure and simulated powder X-ray diffraction pattern of V4O5F7 (a structure optimized by DFT (PBE+U); a wavelength of 1.5418 Å).
Lines closer than 0.1° are merged.

Cell lengths 5.417, 5.190, 7.444 Å; angles 90.00, 93.00, 90.00 degrees
Space group P2 (No. 3)
Symmetry-distinct sites (fractional):
V  0.024  0.000  0.244 x2
V  0.465  0.498  0.759 x2
O  0.204  0.252  0.206 x2
O  0.206  0.663  0.712 x2
O  0.500  0.547  0.000 x1
F  0.000  0.059  0.500 x1
F  0.000  0.859  0.000 x1
F  0.295  0.754  0.304 x2
F  0.303  0.164  0.798 x2
F  0.500  0.382  0.500 x1

The 12 most intense peaks (2θ = 10–90°), in order of rising 2θ:
2θ (°)  d_spacing  intensity  index
23.8  3.745  100.0  1 1 0
23.9  3.717  48.4  0 0 2
33.3  2.687  12.7  1 1 -2
34.6  2.593  11.9  0 2 0
40.1  2.246  8.2  1 2 -1
48.6  1.873  18.4  2 2 0
49.0  1.858  10.2  0 0 4
53.8  1.703  9.4  3 1 0
54.0  1.697  9.3  2 2 -2
54.3  1.689  10.2  1 1 -4
55.8  1.648  11.1  1 3 0
62.0  1.497  10.1  2 0 4